(1)
# NdP4N8
Theoretical X-ray powder pattern, Cu Kα (λ = 1.5418 Å). Input: a structure optimized by DFT (PBE).
Intensities are scaled so that the largest is 100.

Principal peaks in the range 10° ≤ 2θ ≤ 80°, low angle first:
2θ 10.75, intensity 100.0
2θ 23.34, intensity 25.8
2θ 30.06, intensity 42.6
2θ 36.19, intensity 22.7
2θ 37.86, intensity 29.5
2θ 38.94, intensity 18.4
2θ 47.73, intensity 7.8
2θ 54.20, intensity 7.2
2θ 61.34, intensity 9.8
2θ 65.09, intensity 6.8
2θ 66.92, intensity 7.7
2θ 68.37, intensity 9.3

Structure:
a = 4.9641 Å, b = 4.9641 Å, c = 8.2322 Å
α = 90.00°, β = 90.00°, γ = 120.00°
Atoms (fractional coordinates):
Nd (0.0000, 0.0000, 0.0000)
P (0.3333, 0.6667, 0.1999)
P (0.3333, 0.6667, 0.8001)
P (0.6667, 0.3333, 0.1999)
P (0.6667, 0.3333, 0.8001)
N (0.0000, 0.3747, 0.7469)
N (0.0000, 0.6253, 0.2531)
N (0.3333, 0.6667, 0.0000)
N (0.3747, 0.0000, 0.7469)
N (0.3747, 0.3747, 0.2531)
N (0.6253, 0.0000, 0.2531)
N (0.6253, 0.6253, 0.7469)
N (0.6667, 0.3333, 0.0000)



(2)
# Nd7PN5
Theoretical X-ray powder pattern, Cu Kα (λ = 1.5418 Å). Input: a structure optimized by DFT (PBE).
Intensities are scaled so that the largest is 100.

Principal peaks in the range 10° ≤ 2θ ≤ 80°, low angle first:
2θ 28.42, intensity 29.6
2θ 29.55, intensity 36.9
2θ 29.83, intensity 97.7
2θ 30.39, intensity 26.7
2θ 32.06, intensity 100.0
2θ 32.29, intensity 48.1
2θ 33.56, intensity 87.4
2θ 34.82, intensity 58.3
2θ 48.70, intensity 50.1
2θ 49.16, intensity 26.3
2θ 51.18, intensity 29.4
2θ 59.53, intensity 33.9

Structure:
a = 6.3840 Å, b = 6.3840 Å, c = 21.9716 Å
α = 90.00°, β = 90.00°, γ = 145.96°
Atoms (fractional coordinates):
Nd (0.0220, 0.9780, 0.7500)
Nd (0.1369, 0.8631, 0.0325)
Nd (0.1369, 0.8631, 0.4675)
Nd (0.3201, 0.6799, 0.6660)
Nd (0.3201, 0.6799, 0.8340)
Nd (0.4148, 0.5852, 0.1023)
Nd (0.4148, 0.5852, 0.3977)
Nd (0.5852, 0.4148, 0.6023)
Nd (0.5852, 0.4148, 0.8977)
Nd (0.6799, 0.3201, 0.1660)
Nd (0.6799, 0.3201, 0.3340)
Nd (0.8631, 0.1369, 0.5325)
Nd (0.8631, 0.1369, 0.9675)
Nd (0.9780, 0.0220, 0.2500)
P (0.3011, 0.6989, 0.2500)
P (0.6989, 0.3011, 0.7500)
N (0.0505, 0.9495, 0.1425)
N (0.0505, 0.9495, 0.3575)
N (0.2256, 0.7744, 0.5724)
N (0.2256, 0.7744, 0.9276)
N (0.5000, 0.5000, 0.0000)
N (0.5000, 0.5000, 0.5000)
N (0.7744, 0.2256, 0.0724)
N (0.7744, 0.2256, 0.4276)
N (0.9495, 0.0505, 0.6425)
N (0.9495, 0.0505, 0.8575)



(3)
# NdPaPN2
Theoretical X-ray powder pattern, Cu Kα (λ = 1.5418 Å). Input: a structure optimized by DFT (PBE).
Intensities are scaled so that the largest is 100.

Principal peaks in the range 10° ≤ 2θ ≤ 80°, low angle first:
2θ 14.07, intensity 25.2
2θ 24.02, intensity 45.4
2θ 28.35, intensity 10.8
2θ 31.42, intensity 100.0
2θ 32.68, intensity 41.0
2θ 43.80, intensity 19.7
2θ 46.88, intensity 19.6
2θ 53.36, intensity 11.3
2θ 55.12, intensity 19.6
2θ 56.39, intensity 11.5
2θ 57.53, intensity 36.3
2θ 65.57, intensity 9.6

Structure:
a = 6.8668 Å, b = 6.8668 Å, c = 6.8668 Å
α = 147.22°, β = 147.22°, γ = 47.04°
Atoms (fractional coordinates):
Nd (0.0000, 0.0000, 0.0000)
Pa (0.3082, 0.3082, 0.0000)
P (0.6555, 0.6555, 0.0000)
N (0.3877, 0.8877, 0.5000)
N (0.8877, 0.3877, 0.5000)



(4)
# Nd2P2PdN6
Theoretical X-ray powder pattern, Cu Kα (λ = 1.5418 Å). Input: a structure optimized by DFT (PBE).
Intensities are scaled so that the largest is 100.

Principal peaks in the range 10° ≤ 2θ ≤ 80°, low angle first:
2θ 19.53, intensity 25.7
2θ 28.91, intensity 47.5
2θ 32.77, intensity 100.0
2θ 33.37, intensity 80.1
2θ 44.25, intensity 29.3
2θ 47.47, intensity 31.5
2θ 56.14, intensity 15.5
2θ 58.49, intensity 19.1
2θ 58.88, intensity 31.8
2θ 61.40, intensity 29.4
2θ 68.69, intensity 16.4
2θ 78.56, intensity 15.3

Structure:
a = 6.2844 Å, b = 6.2844 Å, c = 6.2844 Å
α = 51.56°, β = 51.56°, γ = 51.56°
Atoms (fractional coordinates):
Nd (0.2144, 0.2144, 0.2144)
Nd (0.7856, 0.7856, 0.7856)
P (0.4323, 0.4323, 0.4323)
P (0.5677, 0.5677, 0.5677)
Pd (0.0000, 0.0000, 0.0000)
N (0.2401, 0.7495, 0.7495)
N (0.2505, 0.2505, 0.7599)
N (0.2505, 0.7599, 0.2505)
N (0.7495, 0.2401, 0.7495)
N (0.7495, 0.7495, 0.2401)
N (0.7599, 0.2505, 0.2505)



(5)
# NdPuPN
Theoretical X-ray powder pattern, Cu Kα (λ = 1.5418 Å). Input: a structure optimized by DFT (PBE).
Intensities are scaled so that the largest is 100.

Principal peaks in the range 10° ≤ 2θ ≤ 80°, low angle first:
2θ 14.01, intensity 17.3
2θ 28.24, intensity 28.2
2θ 28.86, intensity 93.0
2θ 33.27, intensity 100.0
2θ 36.26, intensity 12.2
2θ 47.36, intensity 30.5
2θ 48.16, intensity 37.8
2θ 56.06, intensity 9.8
2θ 56.77, intensity 25.9
2θ 57.13, intensity 14.7
2θ 59.79, intensity 18.6
2θ 77.89, intensity 12.2

Structure:
a = 6.6863 Å, b = 6.6863 Å, c = 6.6863 Å
α = 32.83°, β = 32.83°, γ = 32.83°
Atoms (fractional coordinates):
Nd (0.0000, 0.0000, 0.0000)
Pu (0.5213, 0.5213, 0.5213)
P (0.7653, 0.7653, 0.7653)
N (0.2505, 0.2505, 0.2505)



(6)
# Nd2P2Ru2N
Theoretical X-ray powder pattern, Cu Kα (λ = 1.5418 Å). Input: a structure optimized by DFT (PBE).
Intensities are scaled so that the largest is 100.

Principal peaks in the range 10° ≤ 2θ ≤ 80°, low angle first:
2θ 24.72, intensity 27.0
2θ 31.84, intensity 43.4
2θ 32.23, intensity 24.9
2θ 32.67, intensity 22.1
2θ 32.93, intensity 100.0
2θ 36.16, intensity 97.2
2θ 37.28, intensity 37.8
2θ 41.04, intensity 22.8
2θ 46.39, intensity 34.0
2θ 57.35, intensity 24.8
2θ 61.67, intensity 20.4
2θ 62.61, intensity 17.0

Structure:
a = 6.0068 Å, b = 6.0068 Å, c = 6.8235 Å
α = 123.77°, β = 123.77°, γ = 38.03°
Atoms (fractional coordinates):
Nd (0.0626, 0.0626, 0.3010)
Nd (0.9374, 0.9374, 0.6990)
P (0.3197, 0.3197, 0.2843)
P (0.6803, 0.6803, 0.7157)
Ru (0.3001, 0.3001, 0.9145)
Ru (0.6999, 0.6999, 0.0855)
N (0.5000, 0.5000, 0.0000)



(7)
# Nd3PSN
Theoretical X-ray powder pattern, Cu Kα (λ = 1.5418 Å). Input: a structure optimized by DFT (PBE).
Intensities are scaled so that the largest is 100.

Principal peaks in the range 10° ≤ 2θ ≤ 80°, low angle first:
2θ 13.14, intensity 26.9
2θ 23.89, intensity 33.3
2θ 25.14, intensity 56.0
2θ 26.46, intensity 31.7
2θ 28.57, intensity 83.7
2θ 29.10, intensity 43.5
2θ 31.03, intensity 32.7
2θ 31.40, intensity 100.0
2θ 38.52, intensity 33.3
2θ 44.65, intensity 30.2
2θ 47.07, intensity 43.6
2θ 53.87, intensity 43.2

Structure:
a = 8.2959 Å, b = 4.0593 Å, c = 9.5017 Å
α = 90.00°, β = 99.47°, γ = 90.00°
Atoms (fractional coordinates):
Nd (0.0933, 0.2500, 0.3493)
Nd (0.3201, 0.2500, 0.9752)
Nd (0.4011, 0.7500, 0.6578)
Nd (0.5989, 0.2500, 0.3422)
Nd (0.6799, 0.7500, 0.0248)
Nd (0.9067, 0.7500, 0.6507)
P (0.1524, 0.2500, 0.6515)
P (0.8476, 0.7500, 0.3485)
S (0.3348, 0.7500, 0.3188)
S (0.6652, 0.2500, 0.6812)
N (0.4151, 0.7500, 0.8967)
N (0.5849, 0.2500, 0.1033)



(8)
# Nd3SbPN
Theoretical X-ray powder pattern, Cu Kα (λ = 1.5418 Å). Input: a structure optimized by DFT (PBE).
Intensities are scaled so that the largest is 100.

Principal peaks in the range 10° ≤ 2θ ≤ 80°, low angle first:
2θ 10.23, intensity 24.6
2θ 15.45, intensity 21.4
2θ 24.51, intensity 22.9
2θ 28.52, intensity 30.6
2θ 28.89, intensity 86.6
2θ 29.54, intensity 29.3
2θ 29.65, intensity 100.0
2θ 31.80, intensity 20.7
2θ 37.89, intensity 44.9
2θ 42.71, intensity 27.9
2θ 45.56, intensity 24.1
2θ 52.38, intensity 22.7

Structure:
a = 8.8514 Å, b = 4.2340 Å, c = 9.5005 Å
α = 90.00°, β = 102.45°, γ = 90.00°
Atoms (fractional coordinates):
Nd (0.0739, 0.2500, 0.3484)
Nd (0.3371, 0.2500, 0.9824)
Nd (0.3889, 0.7500, 0.6598)
Nd (0.6111, 0.2500, 0.3402)
Nd (0.6629, 0.7500, 0.0176)
Nd (0.9261, 0.7500, 0.6516)
Sb (0.3162, 0.7500, 0.2798)
Sb (0.6838, 0.2500, 0.7202)
P (0.1536, 0.2500, 0.6510)
P (0.8464, 0.7500, 0.3490)
N (0.4084, 0.7500, 0.8988)
N (0.5916, 0.2500, 0.1012)